Simulated XRD peak list of LaZrBi3 for Cu Kα, 1.54184 Å, from a crystal structure in Alexandria, relaxed with PBE.
Lines closer than 0.1° are merged.

Top 10 peaks for 2θ from 10° to 90°, sorted by position:
(3 1 1), 26.9 deg, I 95.4; (1 0 2), 27.8 deg, I 29.4; (2 2 0), 29.6 deg, I 98.4; (2 0 2), 29.9 deg, I 83.8; (5 0 0), 31.9 deg, I 100.0; (3 0 2), 33.2 deg, I 26.6; (3 1 2), 35.9 deg, I 28.5; (0 2 2), 38.3 deg, I 73.8; (6 0 2), 47.7 deg, I 33.4; (2 4 2), 63.8 deg, I 34.2

Structural model:
```
20
Lattice="14.009 0.000 0.000 0.000 6.684 0.000 0.000 0.000 6.604" Properties=species:S:1:pos:R:3 pbc="T T T"
La 2.572 0.081 1.651
La 2.572 3.261 4.953
La 11.437 3.423 1.651
La 11.437 6.603 4.953
Zr 5.727 5.013 0.000
Zr 5.727 5.013 3.302
Zr 8.282 1.671 0.000
Zr 8.282 1.671 3.302
Bi 0.051 5.013 0.000
Bi 0.051 5.013 3.302
Bi 3.674 3.420 1.651
Bi 3.674 6.605 4.953
Bi 5.905 0.814 1.651
Bi 5.905 2.528 4.953
Bi 8.104 4.156 1.651
Bi 8.104 5.870 4.953
Bi 10.335 0.078 1.651
Bi 10.335 3.264 4.953
Bi 13.958 1.671 0.000
Bi 13.958 1.671 3.302
```